No. 1
Structure and simulated powder diffractogram of KBa2DyBi2O9 (a DFT-relaxed cell (GGA-PBE, Alexandria); Cu Ka).
Intensities are scaled so that the largest is 100.

Lattice parameters (Å, degrees): 6.8814 6.8814 15.7867 90.00 90.00 120.00
Space group P-3m1 (No. 164)
Asymmetric unit:
K 0.3333 0.6667 0.1603
Ba 0.0000 0.0000 0.2767
Ba 0.3333 0.6667 0.6373
Dy 0.3333 0.6667 0.4083
Bi 0.0000 0.0000 0.0000
Bi 0.0000 0.0000 0.5000
Bi 0.3333 0.6667 0.9426
O 0.0000 0.5000 0.0000
O 0.0000 0.5000 0.5000
O 0.1359 0.2718 0.5861
O 0.2140 0.4281 0.2974

Largest 6 diffraction maxima, by angle, 10 to 90 degrees two-theta:
2θ/deg, I_rel, index
11.21, 26.7, 0 0 2
25.90, 100.0, 1 1 0
27.10, 63.0, 1 0 4
37.83, 40.6, 0 2 4
45.67, 20.7, 3 0 0
46.42, 34.0, 2 1 4


No. 2
Structure and simulated powder diffractogram of Ba2ErBi2 (a DFT-relaxed cell (GGA-PBE, Alexandria); Cu Ka).
Intensities are scaled so that the largest is 100.

Lattice parameters (Å, degrees): 8.175 14.599 7.261 90.00 90.00 90.00
Space group Ibam (No. 72)
Asymmetric unit:
Ba 0.168 0.146 0.000
Er 0.000 0.500 0.250
Bi 0.232 0.388 0.000

Largest 6 diffraction maxima, by angle, 10 to 90 degrees two-theta:
2θ/deg, I_rel, index
20.39, 22.0, 1 2 1
24.39, 23.3, 0 4 0
24.52, 29.3, 0 0 2
25.75, 22.7, 2 1 1
32.95, 100.0, 2 0 2
34.86, 56.4, 0 4 2


No. 3
Structure and simulated powder diffractogram of Ba3Li2Er2Bi4 (a DFT-relaxed cell (GGA-PBE, Alexandria); Cu Ka).
Intensities are scaled so that the largest is 100.

Lattice parameters (Å, degrees): 5.0109 5.0109 18.2565 90.00 90.00 120.00
Space group P-3m1 (No. 164)
Asymmetric unit:
Ba 0.0000 0.0000 0.0000
Ba 0.0000 0.0000 0.2561
Li 0.3333 0.6667 0.1265
Er 0.3333 0.6667 0.5590
Bi 0.3333 0.6667 0.3789
Bi 0.3333 0.6667 0.8722

Largest 6 diffraction maxima, by angle, 10 to 90 degrees two-theta:
2θ/deg, I_rel, index
21.04, 26.3, 1 0 1
22.69, 79.0, 0 1 2
28.38, 100.0, 0 1 4
35.84, 94.0, 1 1 0
36.05, 65.5, 1 0 6
46.33, 26.4, 2 0 4


No. 4
Structure and simulated powder diffractogram of Ba4ErBi3O12 (a DFT-relaxed cell (GGA-PBE, Alexandria); Cu Ka).
Intensities are scaled so that the largest is 100.

Lattice parameters (Å, degrees): 8.775 8.775 8.775 90.00 90.00 90.00
Space group Im-3m (No. 229)
Asymmetric unit:
Ba 0.250 0.250 0.250
Er 0.000 0.000 0.000
Bi 0.000 0.000 0.500
O 0.000 0.000 0.252
O 0.000 0.250 0.500

Largest 6 diffraction maxima, by angle, 10 to 90 degrees two-theta:
2θ/deg, I_rel, index
28.78, 100.0, 2 2 0
41.15, 28.1, 4 0 0
50.98, 42.4, 4 2 2
59.60, 18.3, 4 4 0
67.51, 18.8, 6 2 0
82.21, 22.7, 6 4 2


No. 5
Structure and simulated powder diffractogram of Ba3ErBi2O9 (a DFT-relaxed cell (GGA-PBE, Alexandria); Cu Ka).
Intensities are scaled so that the largest is 100.

Lattice parameters (Å, degrees): 6.1817 6.1817 7.5720 90.00 90.00 120.00
Space group P-3m1 (No. 164)
Asymmetric unit:
Ba 0.0000 0.0000 0.0000
Ba 0.3333 0.6667 0.6669
Er 0.0000 0.0000 0.5000
Bi 0.3333 0.6667 0.1720
O 0.0000 0.5000 0.0000
O 0.1685 0.3369 0.3317

Largest 6 diffraction maxima, by angle, 10 to 90 degrees two-theta:
2θ/deg, I_rel, index
28.88, 100.0, 1 1 0
41.31, 28.2, 2 0 2
51.19, 42.3, 3 0 0
59.84, 18.3, 2 2 0
67.79, 18.8, 3 1 2
82.58, 22.5, 4 1 0


No. 6
Structure and simulated powder diffractogram of BaEuBiSbO6 (a DFT-relaxed cell (GGA-PBE, Alexandria); Cu Ka).
Intensities are scaled so that the largest is 100.

Lattice parameters (Å, degrees): 6.026 6.103 8.567 89.73 89.37 89.91
Space group P-1 (No. 2)
Asymmetric unit:
Ba 0.005 0.029 0.249
Eu 0.486 0.539 0.248
Bi 0.000 0.500 0.000
Bi 0.500 0.000 0.500
Sb 0.000 0.500 0.500
Sb 0.500 0.000 0.000
O 0.105 0.504 0.728
O 0.204 0.757 0.453
O 0.230 0.804 0.029
O 0.264 0.303 0.442
O 0.318 0.278 0.052
O 0.435 0.052 0.769

Largest 6 diffraction maxima, by angle, 10 to 90 degrees two-theta:
2θ/deg, I_rel, index
29.28, 66.4, 1 1 2
29.42, 34.3, 1 -1 2
29.61, 100.0, -1 1 2
42.17, 49.6, 0 0 4
52.08, 27.8, 2 0 4
52.72, 22.4, 3 1 -2


No. 7
Structure and simulated powder diffractogram of Ba3Bi2F (a DFT-relaxed cell (GGA-PBE, Alexandria); Cu Ka).
Intensities are scaled so that the largest is 100.

Lattice parameters (Å, degrees): 4.669 25.166 7.641 90.00 90.00 90.00
Space group Cmcm (No. 63)
Asymmetric unit:
Ba 0.000 0.087 0.013
Ba 0.000 0.286 0.250
Bi 0.000 0.323 0.750
Bi 0.000 0.493 0.250
F 0.000 0.155 0.750

Largest 6 diffraction maxima, by angle, 10 to 90 degrees two-theta:
2θ/deg, I_rel, index
26.03, 100.0, 1 5 0
30.44, 76.7, 1 1 2
31.68, 49.0, 0 6 2
38.57, 24.1, 2 0 0
50.74, 26.8, 2 6 2
55.04, 33.1, 1 5 4


No. 8
Structure and simulated powder diffractogram of BaBiH2F8 (a DFT-relaxed cell (GGA-PBE, Alexandria); Cu Ka).
Intensities are scaled so that the largest is 100.

Lattice parameters (Å, degrees): 4.382 4.430 9.222 86.40 86.41 67.18
Space group P-1 (No. 2)
Asymmetric unit:
Ba 0.000 0.000 0.000
Bi 0.000 0.000 0.500
H 0.485 0.485 0.714
F 0.244 0.719 0.719
F 0.279 0.753 0.281
F 0.308 0.304 0.502
F 0.343 0.345 0.023

Largest 6 diffraction maxima, by angle, 10 to 90 degrees two-theta:
2θ/deg, I_rel, index
19.30, 100.0, 0 0 2
21.78, 54.6, 0 1 0
22.03, 53.5, 1 0 0
24.32, 74.4, 1 1 0
30.06, 47.1, 1 0 -2
41.95, 55.8, 1 -1 2


No. 9
Structure and simulated powder diffractogram of Ba2Li3BiF12 (a DFT-relaxed cell (GGA-PBE, Alexandria); Cu Ka).
Intensities are scaled so that the largest is 100.

Lattice parameters (Å, degrees): 6.7304 6.7304 19.8184 90.00 90.00 120.00
Space group R-3m (No. 166, hexagonal axes)
Asymmetric unit:
Ba 0.0000 0.0000 0.1005
Li 0.0000 0.5000 0.0000
Bi 0.0000 0.0000 0.5000
F 0.0229 0.5115 0.8724
F 0.0535 0.5267 0.3000

Largest 6 diffraction maxima, by angle, 10 to 90 degrees two-theta:
2θ/deg, I_rel, index
13.40, 50.8, 0 0 3
17.65, 100.0, 0 1 2
26.49, 71.9, 1 1 0
27.21, 68.2, 0 1 5
29.80, 58.4, 1 1 3
38.34, 70.4, 2 0 5


No. 10
Structure and simulated powder diffractogram of BaNa2BiF8 (a DFT-relaxed cell (GGA-PBE, Alexandria); Cu Ka).
Intensities are scaled so that the largest is 100.

Lattice parameters (Å, degrees): 4.079 5.786 8.219 90.00 90.00 90.00
Space group Pmmm (No. 47)
Asymmetric unit:
Ba 0.000 0.000 0.000
Na 0.500 0.500 0.241
Bi 0.000 0.000 0.500
F 0.000 0.241 0.289
F 0.500 0.210 0.500
F 0.500 0.271 0.000

Largest 6 diffraction maxima, by angle, 10 to 90 degrees two-theta:
2θ/deg, I_rel, index
15.31, 100.0, 0 1 0
21.63, 45.8, 0 0 2
26.61, 94.5, 0 1 2
26.74, 93.1, 1 1 0
34.65, 50.1, 1 1 2
44.26, 87.2, 1 2 2